Diffraction record for H4Pd9Pb3. The powder diffractogram is theoretical, not measured: it uses a cell relaxed with GGA-PBE and Cu Ka.

The 12 most intense peaks (2θ = 10–90°), by angle:
2θ = 34.11°, I = 56
2θ = 36.10°, I = 13
2θ = 36.71°, I = 100
2θ = 39.09°, I = 15
2θ = 40.80°, I = 40
2θ = 45.08°, I = 78
2θ = 56.41°, I = 15
2θ = 64.51°, I = 30
2θ = 66.80°, I = 17
2θ = 74.54°, I = 20
2θ = 75.03°, I = 34
2θ = 82.16°, I = 14

Structure:
Cell lengths 8.563, 8.563, 8.563 Å; angles 39.44, 39.44, 39.44 degrees
Fractional coordinates of all 16 atoms:
H (0.000, 0.000, 0.000)
H (0.128, 0.128, 0.128)
H (0.406, 0.406, 0.406)
H (0.534, 0.534, 0.534)
Pd (0.205, 0.205, 0.709)
Pd (0.205, 0.709, 0.205)
Pd (0.267, 0.767, 0.767)
Pd (0.329, 0.329, 0.825)
Pd (0.329, 0.825, 0.329)
Pd (0.709, 0.205, 0.205)
Pd (0.767, 0.267, 0.767)
Pd (0.767, 0.767, 0.267)
Pd (0.825, 0.329, 0.329)
Pb (0.267, 0.267, 0.267)
Pb (0.702, 0.702, 0.702)
Pb (0.832, 0.832, 0.832)